# PrNF5
Computed powder XRD pattern, Cu Kα X-rays. Input: DFT lattice parameters and positions (GGA-PBE).
No peak broadening, texture or thermal motion is included.

Crystal structure
Lattice parameters (Å, degrees): 7.2642 7.2642 5.9601 113.90 113.90 107.77
Fractional coordinates of all 14 atoms:
Pr  0.1004  0.8996  0.7500
Pr  0.8996  0.1004  0.2500
N  0.0000  0.5000  0.0000
N  0.5000  0.0000  0.5000
F  0.0069  0.5032  0.7097
F  0.1732  0.8268  0.2500
F  0.2093  0.2119  0.2057
F  0.2119  0.2093  0.7057
F  0.4968  0.9931  0.7903
F  0.5032  0.0069  0.2097
F  0.7881  0.7907  0.2943
F  0.7907  0.7881  0.7943
F  0.8268  0.1732  0.7500
F  0.9931  0.4968  0.2903

Most intense lines, 2θ from 15° to 90°, by angle:
d = 5.495 Å, I 1000
d = 5.314 Å, I 187
d = 3.483 Å, I 255
d = 3.457 Å, I 252
d = 3.270 Å, I 308
d = 2.134 Å, I 202